This entry pairs a crystal structure of Pm6Zn5Pb with its simulated XRD peak list. Radiation: copper Kα. Structure: a crystal structure in Alexandria, relaxed with GGA-PBE.
Kinematic intensities with the Lorentz-polarization factor, no thermal factor.

Top 10 peaks for 2θ = 5–70°, in order of rising 2θ:
two_theta, I (rel.)
23.66, 3
23.89, 2
24.01, 5
34.12, 100
34.31, 20
48.91, 7
49.16, 14
61.01, 14
61.09, 14
61.33, 15

Cell and atoms:
Unit cell a=9.104 b=9.104 c=5.227 alpha=106.65 beta=106.65 gamma=120.07
Positions (direct):
Pm: 0.071 0.415 0.743
Pm: 0.236 0.236 0.237
Pm: 0.415 0.071 0.743
Pm: 0.585 0.929 0.257
Pm: 0.764 0.764 0.763
Pm: 0.929 0.585 0.257
Zn: 0.000 0.000 0.500
Zn: 0.168 0.832 0.000
Zn: 0.332 0.668 0.500
Zn: 0.668 0.332 0.500
Zn: 0.832 0.168 0.000
Pb: 0.500 0.500 0.000

This entry pairs a crystal structure of Pm5Nd5Sm with its simulated XRD peak list. Radiation: copper Kα. Structure: a crystal structure in Alexandria, relaxed with GGA-PBE.
Kinematic intensities with the Lorentz-polarization factor, no thermal factor.

Top 10 peaks for 2θ = 5–70°, in order of rising 2θ:
two_theta, I (rel.)
30.64, 16
31.03, 100
31.13, 44
31.49, 71
31.68, 45
32.34, 33
33.90, 14
44.33, 15
54.93, 14
55.11, 14

Cell and atoms:
Unit cell a=7.060 b=7.070 c=8.709 alpha=75.56 beta=76.02 gamma=70.69
Positions (direct):
Pm: 0.000 0.000 0.000
Pm: 0.188 0.698 0.357
Pm: 0.275 0.353 0.718
Pm: 0.725 0.647 0.282
Pm: 0.812 0.302 0.643
Nd: 0.143 0.236 0.274
Nd: 0.353 0.855 0.643
Nd: 0.500 0.500 0.000
Nd: 0.647 0.145 0.357
Nd: 0.857 0.764 0.726
Sm: 0.500 0.000 0.000

This entry pairs a crystal structure of NbAl5Rh4 with its simulated XRD peak list. Radiation: copper Kα. Structure: a crystal structure in Alexandria, relaxed with GGA-PBE.
Kinematic intensities with the Lorentz-polarization factor, no thermal factor.

Top 10 peaks for 2θ = 5–70°, in order of rising 2θ:
two_theta, I (rel.)
5.54, 13
27.95, 27
29.96, 48
41.43, 100
42.88, 52
45.70, 8
51.96, 19
62.25, 17
66.44, 7
69.58, 8

Cell and atoms:
Unit cell a=2.983 b=2.983 c=15.960 alpha=90.00 beta=90.00 gamma=90.00
Positions (direct):
Nb: 0.000 0.000 0.000
Al: 0.500 0.500 0.121
Al: 0.500 0.500 0.309
Al: 0.500 0.500 0.500
Al: 0.500 0.500 0.691
Al: 0.500 0.500 0.879
Rh: 0.000 0.000 0.215
Rh: 0.000 0.000 0.405
Rh: 0.000 0.000 0.595
Rh: 0.000 0.000 0.785

This entry pairs a crystal structure of TbNd10Sc4 with its simulated XRD peak list. Radiation: copper Kα. Structure: a crystal structure in Alexandria, relaxed with GGA-PBE.
Kinematic intensities with the Lorentz-polarization factor, no thermal factor.

Top 10 peaks for 2θ = 5–70°, in order of rising 2θ:
two_theta, I (rel.)
13.38, 22
20.69, 18
21.76, 30
24.49, 21
24.95, 79
30.59, 27
33.34, 100
35.57, 59
37.54, 37
42.09, 26

Cell and atoms:
Unit cell a=8.965 b=8.965 c=8.965 alpha=101.98 beta=101.98 gamma=125.80
Positions (direct):
Tb: 0.000 0.000 0.000
Nd: 0.034 0.689 0.117
Nd: 0.082 0.966 0.655
Nd: 0.250 0.750 0.500
Nd: 0.311 0.428 0.345
Nd: 0.428 0.082 0.117
Nd: 0.572 0.918 0.883
Nd: 0.689 0.572 0.655
Nd: 0.750 0.250 0.500
Nd: 0.918 0.034 0.345
Nd: 0.966 0.311 0.883
Sc: 0.290 0.433 0.723
Sc: 0.433 0.710 0.143
Sc: 0.567 0.290 0.857
Sc: 0.710 0.567 0.277

This entry pairs a crystal structure of Cs3HgPt2 with its simulated XRD peak list. Radiation: copper Kα. Structure: a crystal structure in Alexandria, relaxed with GGA-PBE.
Kinematic intensities with the Lorentz-polarization factor, no thermal factor.

Top 10 peaks for 2θ = 5–70°, in order of rising 2θ:
two_theta, I (rel.)
16.63, 62
20.57, 26
22.46, 26
24.29, 37
28.67, 100
31.82, 67
32.38, 68
35.60, 42
48.49, 35
55.66, 27

Cell and atoms:
Unit cell a=8.826 b=10.086 c=11.250 alpha=90.00 beta=108.70 gamma=90.00
Positions (direct):
Cs: 0.188 0.249 0.171
Cs: 0.188 0.251 0.671
Cs: 0.231 0.533 0.932
Cs: 0.231 0.967 0.432
Cs: 0.232 0.533 0.432
Cs: 0.232 0.967 0.932
Cs: 0.768 0.033 0.068
Cs: 0.768 0.467 0.568
Cs: 0.769 0.033 0.568
Cs: 0.769 0.467 0.068
Cs: 0.812 0.749 0.329
Cs: 0.812 0.751 0.829
Hg: 0.380 0.750 0.220
Hg: 0.380 0.750 0.720
Hg: 0.620 0.250 0.280
Hg: 0.620 0.250 0.780
Pt: 0.049 0.750 0.139
Pt: 0.049 0.750 0.639
Pt: 0.500 0.000 0.250
Pt: 0.500 0.000 0.750
Pt: 0.500 0.500 0.250
Pt: 0.500 0.500 0.750
Pt: 0.951 0.250 0.361
Pt: 0.951 0.250 0.861

This entry pairs a crystal structure of Ca4SeN4 with its simulated XRD peak list. Radiation: copper Kα. Structure: a crystal structure in Alexandria, relaxed with GGA-PBE.
Kinematic intensities with the Lorentz-polarization factor, no thermal factor.

Top 10 peaks for 2θ = 5–70°, in order of rising 2θ:
two_theta, I (rel.)
21.66, 20
24.16, 55
29.95, 59
31.55, 45
32.79, 84
34.54, 21
34.82, 100
42.27, 29
45.00, 22
49.83, 36

Cell and atoms:
Unit cell a=12.923 b=3.660 c=13.454 alpha=90.00 beta=90.00 gamma=90.00
Positions (direct):
Ca: 0.008 0.250 0.115
Ca: 0.041 0.750 0.368
Ca: 0.234 0.750 0.968
Ca: 0.241 0.250 0.742
Ca: 0.259 0.750 0.242
Ca: 0.266 0.250 0.468
Ca: 0.459 0.250 0.868
Ca: 0.492 0.750 0.615
Ca: 0.508 0.250 0.385
Ca: 0.541 0.750 0.132
Ca: 0.734 0.750 0.532
Ca: 0.741 0.250 0.758
Ca: 0.759 0.750 0.258
Ca: 0.766 0.250 0.032
Ca: 0.959 0.250 0.632
Ca: 0.992 0.750 0.885
Se: 0.134 0.750 0.588
Se: 0.366 0.250 0.088
Se: 0.634 0.750 0.912
Se: 0.866 0.250 0.412
N: 0.093 0.250 0.967
N: 0.110 0.250 0.251
N: 0.132 0.250 0.878
N: 0.168 0.250 0.334
N: 0.332 0.750 0.834
N: 0.368 0.750 0.378
N: 0.390 0.750 0.751
N: 0.407 0.750 0.467
N: 0.593 0.250 0.533
N: 0.610 0.250 0.249
N: 0.632 0.250 0.622
N: 0.668 0.250 0.166
N: 0.832 0.750 0.666
N: 0.868 0.750 0.122
N: 0.890 0.750 0.749
N: 0.907 0.750 0.033